# PuTe3Au
Calculated XRD peak list, Cu Kα. Input: the PBE geometry in Alexandria.
Peak positions follow from Bragg's law for the DFT cell and can differ from measured ones.

Atomic structure:
a = 8.7355 Å, b = 8.7355 Å, c = 8.4980 Å
α = 94.50°, β = 94.50°, γ = 28.62°
Atoms (fractional coordinates):
Pu 0.2125 0.2125 0.2812
Pu 0.7875 0.7875 0.7188
Te 0.0185 0.0185 0.1691
Te 0.1915 0.1915 0.9017
Te 0.3618 0.3618 0.5242
Te 0.6382 0.6382 0.4758
Te 0.8085 0.8085 0.0983
Te 0.9815 0.9815 0.8309
Au 0.4147 0.4147 0.2005
Au 0.5853 0.5853 0.7995

Top 10 peaks for 2θ from 5° to 70°, by angle:
- 10.48 deg, rel. 24
- 20.98 deg, rel. 29
- 23.53 deg, rel. 74
- 24.30 deg, rel. 46
- 32.80 deg, rel. 52
- 33.71 deg, rel. 100
- 34.71 deg, rel. 31
- 36.85 deg, rel. 25
- 38.84 deg, rel. 50
- 41.85 deg, rel. 41